Diffraction record for Si2Bi13Sb2O28. The XRD peak list is calculated, not measured: it uses a cell relaxed with GGA-PBE and Cu Kα (λ = 1.5418 Å).

Atomic structure:
```
data_Si2Bi13Sb2O28
_chemical_formula_sum 'Si2 Bi13 Sb2 O28'
_cell_length_a 6.126
_cell_length_b 10.212
_cell_length_c 12.694
_cell_angle_alpha 86.87
_cell_angle_beta 77.30
_cell_angle_gamma 80.31
_space_group_name_H-M_alt 'P 1'
_space_group_IT_number 1
loop_
_space_group_symop_operation_xyz
'x,y,z'
loop_
_atom_site_label
_atom_site_fract_x
_atom_site_fract_y
_atom_site_fract_z
Si1 0.000 0.000 0.000
Si2 0.435 0.343 0.016
Bi1 0.006 0.606 0.453
Bi2 0.033 0.319 0.851
Bi3 0.056 0.042 0.668
Bi4 0.125 0.676 0.162
Bi5 0.306 0.667 0.855
Bi6 0.375 0.297 0.350
Bi7 0.401 0.024 0.165
Bi8 0.422 0.732 0.563
Bi9 0.506 0.030 0.878
Bi10 0.676 0.026 0.441
Bi11 0.716 0.671 0.008
Bi12 0.753 0.313 0.577
Bi13 0.926 0.313 0.140
Sb1 0.565 0.670 0.296
Sb2 0.866 0.671 0.721
O1 0.015 0.260 0.694
O2 0.019 0.386 0.461
O3 0.049 0.082 0.100
O4 0.082 0.081 0.883
O5 0.103 0.784 0.738
O6 0.108 0.564 0.616
O7 0.150 0.849 0.996
O8 0.287 0.494 0.020
O9 0.322 0.775 0.401
O10 0.328 0.557 0.277
O11 0.352 0.263 0.133
O12 0.387 0.261 0.916
O13 0.409 0.952 0.557
O14 0.411 0.080 0.324
O15 0.460 0.782 0.168
O16 0.504 0.223 0.492
O17 0.606 0.569 0.731
O18 0.629 0.786 0.841
O19 0.647 0.575 0.429
O20 0.675 0.087 0.731
O21 0.711 0.345 0.998
O22 0.724 0.997 0.018
O23 0.755 0.251 0.285
O24 0.783 0.763 0.586
O25 0.803 0.556 0.175
O26 0.825 0.771 0.288
O27 0.925 0.116 0.526
O28 0.971 0.561 0.850
```

Peak list (10 most intense, 10 to 90 degrees two-theta, sorted by position)
17.62 deg, I = 34, hkl 0 2 0; 26.14 deg, I = 43, hkl 1 -1 3; 26.57 deg, I = 100, hkl 0 3 0; 27.73 deg, I = 56, hkl 1 2 3; 29.42 deg, I = 34, hkl 2 1 1; 29.60 deg, I = 27, hkl 1 0 4; 30.90 deg, I = 45, hkl -1 1 3; 31.90 deg, I = 48, hkl 2 2 1; 32.37 deg, I = 54, hkl 2 -1 1; 33.00 deg, I = 43, hkl 1 2 -3



Diffraction record for CsRb2TiF6. The XRD peak list is calculated, not measured: it uses a cell relaxed with GGA-PBE and Cu Kα (λ = 1.5418 Å).

Atomic structure:
```
data_CsRb2TiF6
_chemical_formula_sum 'Cs4 Rb8 Ti4 F24'
_cell_length_a 9.586
_cell_length_b 9.586
_cell_length_c 9.586
_cell_angle_alpha 90.00
_cell_angle_beta 90.00
_cell_angle_gamma 90.00
_space_group_name_H-M_alt 'F m -3 m'
_space_group_IT_number 225
_space_group_name_Hall '-F 4 2 3'
loop_
_atom_site_label
_atom_site_fract_x
_atom_site_fract_y
_atom_site_fract_z
Cs1 0.000 0.000 0.000
Rb1 0.250 0.250 0.250
Ti1 0.000 0.000 0.500
F1 0.000 0.000 0.292
```

Peak list (10 most intense, 10 to 90 degrees two-theta, sorted by position)
26.30 deg, I = 100, hkl 2 2 0; 30.94 deg, I = 10, hkl 3 1 1; 37.53 deg, I = 37, hkl 4 0 0; 41.04 deg, I = 9, hkl 3 3 1; 46.40 deg, I = 37, hkl 4 2 2; 54.12 deg, I = 22, hkl 4 4 0; 61.14 deg, I = 22, hkl 6 2 0; 67.72 deg, I = 7, hkl 4 4 4; 74.00 deg, I = 23, hkl 6 4 2; 86.06 deg, I = 10, hkl 6 6 0



Diffraction record for Ta3Bi. The XRD peak list is calculated, not measured: it uses a cell relaxed with GGA-PBE and Cu Kα (λ = 1.5418 Å).

Atomic structure:
```
data_Ta3Bi
_chemical_formula_sum 'Ta3 Bi1'
_cell_length_a 4.278
_cell_length_b 4.278
_cell_length_c 4.278
_cell_angle_alpha 90.00
_cell_angle_beta 90.00
_cell_angle_gamma 90.00
_space_group_name_H-M_alt 'P m -3 m'
_space_group_IT_number 221
_space_group_name_Hall '-P 4 2 3'
loop_
_atom_site_label
_atom_site_fract_x
_atom_site_fract_y
_atom_site_fract_z
Ta1 0.000 0.000 0.500
Bi1 0.500 0.500 0.500
```

Peak list (5 most intense, 10 to 90 degrees two-theta, sorted by position)
36.37 deg, I = 100, hkl 1 1 1; 42.25 deg, I = 50, hkl 2 0 0; 61.28 deg, I = 34, hkl 2 2 0; 73.40 deg, I = 40, hkl 3 1 1; 77.25 deg, I = 12, hkl 2 2 2